(1)
Structure and calculated powder diffractogram of YBe17Ir (a crystal structure in Alexandria, relaxed with PBE; Cu Kα).
Neutral-atom scattering factors, no anomalous dispersion.

Crystal structure
Lattice parameters (Å, degrees): 7.5084 7.5084 10.8376 90.00 90.00 120.00
Space group R3m (No. 160, hexagonal axes)
Inequivalent atoms, fractional coordinates:
Y  0.0000  0.0000  0.0000 [3 per cell]
Be  0.0000  0.0000  0.5546 [3 per cell]
Be  0.0000  0.0000  0.7489 [3 per cell]
Be  0.0451  0.3692  0.3219 [18 per cell]
Be  0.1723  0.3446  0.4914 [9 per cell]
Be  0.1728  0.3455  0.8360 [9 per cell]
Be  0.1771  0.3543  0.1377 [9 per cell]
Ir  0.0000  0.0000  0.3296 [3 per cell]

Principal peaks in the range 10° ≤ 2θ ≤ 80°, low angle first:
15.9 deg, intensity 87, hkl 1 0 1; 21.3 deg, intensity 45, hkl 0 1 2; 23.7 deg, intensity 100, hkl 1 1 0; 24.6 deg, intensity 31, hkl 0 0 3; 28.7 deg, intensity 25, hkl 0 2 1; 34.5 deg, intensity 91, hkl 1 1 3; 37.5 deg, intensity 25, hkl 2 1 1; 41.7 deg, intensity 32, hkl 3 0 0; 49.0 deg, intensity 45, hkl 3 0 3; 56.6 deg, intensity 25, hkl 1 1 6


(2)
Structure and calculated powder diffractogram of Zr2Be3Ir (a crystal structure in Alexandria, relaxed with PBE; Cu Kα).
Neutral-atom scattering factors, no anomalous dispersion.

Crystal structure
Lattice parameters (Å, degrees): 4.9718 4.9718 11.7628 90.00 90.00 120.00
Space group R-3m (No. 166, hexagonal axes)
Inequivalent atoms, fractional coordinates:
Zr  0.0000  0.0000  0.1257 [6 per cell]
Be  0.0000  0.5000  0.0000 [9 per cell]
Ir  0.0000  0.0000  0.5000 [3 per cell]

Principal peaks in the range 10° ≤ 2θ ≤ 80°, low angle first:
22.7 deg, intensity 74, hkl 0 0 3; 25.6 deg, intensity 58, hkl 0 1 2; 36.1 deg, intensity 100, hkl 1 1 0; 43.1 deg, intensity 97, hkl 1 1 3; 43.9 deg, intensity 45, hkl 0 1 5; 44.8 deg, intensity 17, hkl 2 0 2; 58.1 deg, intensity 17, hkl 2 0 5; 65.0 deg, intensity 18, hkl 3 0 0; 69.8 deg, intensity 23, hkl 3 0 3; 70.3 deg, intensity 22, hkl 1 2 5


(3)
Structure and calculated powder diffractogram of Zr2Be15Ir2 (a crystal structure in Alexandria, relaxed with PBE; Cu Kα).
Neutral-atom scattering factors, no anomalous dispersion.

Crystal structure
Lattice parameters (Å, degrees): 7.7786 7.7786 11.3913 90.00 90.00 120.00
Space group R-3m (No. 166, hexagonal axes)
Inequivalent atoms, fractional coordinates:
Zr  0.0000  0.0000  0.1513 [6 per cell]
Be  0.0000  0.2780  0.5000 [18 per cell]
Be  0.0000  0.5000  0.0000 [9 per cell]
Be  0.0011  0.5006  0.6581 [18 per cell]
Ir  0.0000  0.0000  0.3868 [6 per cell]

Principal peaks in the range 10° ≤ 2θ ≤ 80°, low angle first:
15.3 deg, intensity 31, hkl 1 0 1; 22.9 deg, intensity 100, hkl 1 1 0; 34.2 deg, intensity 32, hkl 1 0 4; 40.2 deg, intensity 27, hkl 3 0 0; 41.5 deg, intensity 21, hkl 0 2 4; 46.7 deg, intensity 20, hkl 2 2 0; 47.9 deg, intensity 27, hkl 2 1 4; 54.0 deg, intensity 9, hkl 1 2 5; 59.1 deg, intensity 13, hkl 1 3 4; 63.3 deg, intensity 13, hkl 4 1 0